The following is a theoretical powder X-ray diffraction pattern of Na3Ca2BiO6. It was derived from a GGA-PBE-relaxed structure, using Cu Ka.
Neutral-atom scattering factors, no anomalous dispersion.

Top 12 peaks for 2θ = 10–80°, in order of falling intensity:
hkl 1 1 1, 5.371 Å, 16.51 deg, I 1000; hkl 2 0 6, 2.390 Å, 37.63 deg, I 597; hkl 0 4 0, 2.437 Å, 36.88 deg, I 467; hkl 2 4 6, 1.706 Å, 53.72 deg, I 383; hkl 0 2 2, 4.389 Å, 20.23 deg, I 376; hkl 2 2 0, 2.786 Å, 32.13 deg, I 316; hkl 0 2 6, 2.769 Å, 32.33 deg, I 305; hkl 1 1 5, 3.270 Å, 27.27 deg, I 290; hkl 0 0 4, 5.048 Å, 17.57 deg, I 278; hkl 1 1 3, 4.292 Å, 20.70 deg, I 277; hkl 1 3 1, 2.900 Å, 30.83 deg, I 170; hkl 2 0 2, 3.218 Å, 27.72 deg, I 161

Structure:
```
data_Na3Ca2BiO6
_chemical_formula_sum 'Na24 Ca16 Bi8 O48'
_symmetry_space_group_name_H-M 'F d d d'
_symmetry_Int_Tables_number 70
_cell_length_a 6.7900
_cell_length_b 9.7468
_cell_length_c 20.1934
_cell_angle_alpha 90.00
_cell_angle_beta 90.00
_cell_angle_gamma 90.00
loop_
_symmetry_equiv_pos_as_xyz
'x,y,z'
'-x,-y,-z'
'-x+1/4,-y+1/4,z'
'x+1/4,y+1/4,-z'
'x,-y+1/4,-z+1/4'
'-x,y+1/4,z+1/4'
'-x+1/4,y,-z+1/4'
'x+1/4,-y,z+1/4'
'x,y+1/2,z+1/2'
'-x,-y+1/2,-z+1/2'
'-x+1/4,-y+3/4,z+1/2'
'x+1/4,y+3/4,-z+1/2'
'x,-y+3/4,-z+3/4'
'-x,y+3/4,z+3/4'
'-x+1/4,y+1/2,-z+3/4'
'x+1/4,-y+1/2,z+3/4'
'x+1/2,y,z+1/2'
'-x+1/2,-y,-z+1/2'
'-x+3/4,-y+1/4,z+1/2'
'x+3/4,y+1/4,-z+1/2'
'x+1/2,-y+1/4,-z+3/4'
'-x+1/2,y+1/4,z+3/4'
'-x+3/4,y,-z+3/4'
'x+3/4,-y,z+3/4'
'x+1/2,y+1/2,z'
'-x+1/2,-y+1/2,-z'
'-x+3/4,-y+3/4,z'
'x+3/4,y+3/4,-z'
'x+1/2,-y+3/4,-z+1/4'
'-x+1/2,y+3/4,z+1/4'
'-x+3/4,y+1/2,-z+1/4'
'x+3/4,-y+1/2,z+1/4'
loop_
_atom_site_label
_atom_site_fract_x
_atom_site_fract_y
_atom_site_fract_z
Na1 0.1250 0.1250 0.1250
Na2 0.1250 0.1250 0.2886
Ca1 0.1250 0.1250 0.4556
Bi1 0.1250 0.1250 0.6250
O1 0.0997 0.3698 0.7976
O2 0.1250 0.3480 0.6250
```

***

The following is a theoretical powder X-ray diffraction pattern of Ac2Y3Ho3. It was derived from a GGA-PBE-relaxed structure, using Cu Ka.
Neutral-atom scattering factors, no anomalous dispersion.

Top 12 peaks for 2θ = 10–80°, in order of falling intensity:
hkl 0 4 4, 3.106 Å, 28.74 deg, I 1000; hkl 1 3 3, 2.777 Å, 32.24 deg, I 455; hkl 1 1 4, 2.811 Å, 31.84 deg, I 382; hkl 0 6 0, 2.932 Å, 30.48 deg, I 355; hkl 1 7 7, 1.604 Å, 57.46 deg, I 262; hkl 0 6 6, 2.072 Å, 43.70 deg, I 231; hkl 0 0 4, 4.396 Å, 20.20 deg, I 168; hkl 1 7 3, 1.966 Å, 46.17 deg, I 143; hkl 1 3 7, 1.964 Å, 46.23 deg, I 135; hkl 0 2 4, 3.932 Å, 22.61 deg, I 124; hkl 2 0 0, 1.870 Å, 48.70 deg, I 124; hkl 2 6 0, 1.577 Å, 58.55 deg, I 113

Structure:
```
data_Ac2Y3Ho3
_chemical_formula_sum 'Ac8 Y12 Ho12'
_symmetry_space_group_name_H-M 'C m c m'
_symmetry_Int_Tables_number 63
_symmetry_space_group_name_Hall '-C 2c 2'
_cell_length_a 3.7398
_cell_length_b 17.6106
_cell_length_c 17.5662
_cell_angle_alpha 90.00
_cell_angle_beta 90.00
_cell_angle_gamma 90.00
loop_
_atom_site_label
_atom_site_fract_x
_atom_site_fract_y
_atom_site_fract_z
Ac1 0.0000 0.2478 0.1045
Y1 0.0000 0.0912 0.5417
Y2 0.0000 0.1177 0.2500
Ho1 0.0000 0.0854 0.7500
Ho2 0.0000 0.4546 0.6176
```

***

Please write out number 1 again, unchanged.
The following is a theoretical powder X-ray diffraction pattern of Na3Ca2BiO6. It was derived from a GGA-PBE-relaxed structure, using Cu Ka.
Neutral-atom scattering factors, no anomalous dispersion.

Top 12 peaks for 2θ = 10–80°, in order of falling intensity:
hkl 1 1 1, 5.371 Å, 16.51 deg, I 1000; hkl 2 0 6, 2.390 Å, 37.63 deg, I 597; hkl 0 4 0, 2.437 Å, 36.88 deg, I 467; hkl 2 4 6, 1.706 Å, 53.72 deg, I 383; hkl 0 2 2, 4.389 Å, 20.23 deg, I 376; hkl 2 2 0, 2.786 Å, 32.13 deg, I 316; hkl 0 2 6, 2.769 Å, 32.33 deg, I 305; hkl 1 1 5, 3.270 Å, 27.27 deg, I 290; hkl 0 0 4, 5.048 Å, 17.57 deg, I 278; hkl 1 1 3, 4.292 Å, 20.70 deg, I 277; hkl 1 3 1, 2.900 Å, 30.83 deg, I 170; hkl 2 0 2, 3.218 Å, 27.72 deg, I 161

Structure:
```
data_Na3Ca2BiO6
_chemical_formula_sum 'Na24 Ca16 Bi8 O48'
_symmetry_space_group_name_H-M 'F d d d'
_symmetry_Int_Tables_number 70
_cell_length_a 6.7900
_cell_length_b 9.7468
_cell_length_c 20.1934
_cell_angle_alpha 90.00
_cell_angle_beta 90.00
_cell_angle_gamma 90.00
loop_
_symmetry_equiv_pos_as_xyz
'x,y,z'
'-x,-y,-z'
'-x+1/4,-y+1/4,z'
'x+1/4,y+1/4,-z'
'x,-y+1/4,-z+1/4'
'-x,y+1/4,z+1/4'
'-x+1/4,y,-z+1/4'
'x+1/4,-y,z+1/4'
'x,y+1/2,z+1/2'
'-x,-y+1/2,-z+1/2'
'-x+1/4,-y+3/4,z+1/2'
'x+1/4,y+3/4,-z+1/2'
'x,-y+3/4,-z+3/4'
'-x,y+3/4,z+3/4'
'-x+1/4,y+1/2,-z+3/4'
'x+1/4,-y+1/2,z+3/4'
'x+1/2,y,z+1/2'
'-x+1/2,-y,-z+1/2'
'-x+3/4,-y+1/4,z+1/2'
'x+3/4,y+1/4,-z+1/2'
'x+1/2,-y+1/4,-z+3/4'
'-x+1/2,y+1/4,z+3/4'
'-x+3/4,y,-z+3/4'
'x+3/4,-y,z+3/4'
'x+1/2,y+1/2,z'
'-x+1/2,-y+1/2,-z'
'-x+3/4,-y+3/4,z'
'x+3/4,y+3/4,-z'
'x+1/2,-y+3/4,-z+1/4'
'-x+1/2,y+3/4,z+1/4'
'-x+3/4,y+1/2,-z+1/4'
'x+3/4,-y+1/2,z+1/4'
loop_
_atom_site_label
_atom_site_fract_x
_atom_site_fract_y
_atom_site_fract_z
Na1 0.1250 0.1250 0.1250
Na2 0.1250 0.1250 0.2886
Ca1 0.1250 0.1250 0.4556
Bi1 0.1250 0.1250 0.6250
O1 0.0997 0.3698 0.7976
O2 0.1250 0.3480 0.6250
```